# Pm6Ag5Sb
Simulated PXRD pattern, Cu Kα X-rays. Input: the GGA-PBE geometry in Alexandria.
Peak positions follow from Bragg's law for the DFT cell and can differ from measured ones.

Largest 10 diffraction maxima, sorted by position, 2θ from 10° to 80°:
2θ (°), I (rel.)
33.71, 100
34.06, 20
48.23, 7
48.64, 14
60.11, 7
60.25, 14
60.36, 7
60.74, 14
70.92, 9
71.70, 2

Crystal structure
```
Pm6Ag5Sb
1.0
-2.6326 3.7735 7.9854
2.6326 -3.7735 7.9854
2.6326 3.7735 -7.9854
Pm Ag Sb
6 5 1
Direct
0.0821 0.3329 0.7493
0.2483 0.0000 0.2483
0.4164 0.6671 0.7493
0.5836 0.3329 0.2507
0.7517 0.0000 0.7517
0.9179 0.6671 0.2507
0.0000 0.5000 0.5000
0.1678 0.1678 0.0000
0.3254 0.8254 0.5000
0.6746 0.1746 0.5000
0.8322 0.8322 0.0000
0.5000 0.5000 0.0000
```

***

# Tb5Y2Sb4
Simulated PXRD pattern, Cu Kα X-rays. Input: the GGA-PBE geometry in Alexandria.
Peak positions follow from Bragg's law for the DFT cell and can differ from measured ones.

Largest 10 diffraction maxima, sorted by position, 2θ from 10° to 80°:
2θ (°), I (rel.)
22.34, 40
24.85, 30
26.81, 63
28.48, 42
30.26, 59
32.75, 39
32.87, 92
36.04, 100
40.12, 39
44.81, 44

Crystal structure
```
Tb5Y2Sb4
1.0
11.2251 -2.0224 0.0000
11.2251 2.0224 0.0000
-1.2890 0.0000 7.7438
Tb Y Sb
5 2 4
Direct
0.0000 0.0000 0.0000
0.3127 0.3127 0.9254
0.4428 0.4428 0.6163
0.5572 0.5572 0.3837
0.6873 0.6873 0.0746
0.2969 0.2969 0.3613
0.7031 0.7031 0.6387
0.1544 0.1544 0.3404
0.4247 0.4247 0.2122
0.5753 0.5753 0.7878
0.8456 0.8456 0.6596
```

***

# AcCd4Ni
Simulated PXRD pattern, Cu Kα X-rays. Input: the GGA-PBE geometry in Alexandria.
Peak positions follow from Bragg's law for the DFT cell and can differ from measured ones.

Largest 10 diffraction maxima, sorted by position, 2θ from 10° to 80°:
2θ (°), I (rel.)
29.06, 16
31.24, 15
31.45, 100
32.99, 54
33.64, 18
37.40, 27
37.82, 32
40.83, 35
42.29, 16
56.57, 18

Crystal structure
```
AcCd4Ni
1.0
8.5481 0.0000 0.0000
0.0000 4.4201 0.0000
0.0000 0.0000 7.5165
Ac Cd Ni
2 8 2
Direct
0.2500 0.0000 0.0923
0.7500 0.0000 0.9077
0.0000 0.0000 0.5000
0.0602 0.5000 0.7967
0.2500 0.5000 0.4528
0.4398 0.5000 0.7967
0.5000 0.0000 0.5000
0.5602 0.5000 0.2033
0.7500 0.5000 0.5472
0.9398 0.5000 0.2033
0.2500 0.0000 0.7079
0.7500 0.0000 0.2921
```

***

# SmTmPb2
Simulated PXRD pattern, Cu Kα X-rays. Input: the GGA-PBE geometry in Alexandria.
Peak positions follow from Bragg's law for the DFT cell and can differ from measured ones.

Largest 10 diffraction maxima, sorted by position, 2θ from 10° to 80°:
2θ (°), I (rel.)
28.87, 41
29.05, 99
29.25, 58
30.59, 83
35.97, 50
36.43, 87
36.90, 38
40.03, 100
50.73, 39
51.68, 41

Crystal structure
```
SmTmPb2
1.0
6.3708 0.0000 0.0000
0.0000 6.3724 0.0000
-2.8897 0.0000 11.6897
Sm Tm Pb
4 4 8
Direct
0.1865 0.1278 0.1307
0.1865 0.8722 0.6307
0.8135 0.1278 0.3693
0.8135 0.8722 0.8693
0.3213 0.3712 0.8737
0.3213 0.6288 0.3737
0.6787 0.3712 0.6263
0.6787 0.6288 0.1263
0.1689 0.3726 0.6049
0.1689 0.6274 0.1049
0.3295 0.1315 0.4026
0.3295 0.8685 0.9026
0.6705 0.1315 0.0974
0.6705 0.8685 0.5974
0.8311 0.3726 0.8951
0.8311 0.6274 0.3951
```

***

# SrHgS2
Simulated PXRD pattern, Cu Kα X-rays. Input: the GGA-PBE geometry in Alexandria.
Peak positions follow from Bragg's law for the DFT cell and can differ from measured ones.

Largest 10 diffraction maxima, sorted by position, 2θ from 10° to 80°:
2θ (°), I (rel.)
10.55, 17
22.79, 44
24.21, 23
25.79, 100
29.25, 36
36.19, 17
37.40, 27
41.91, 32
49.81, 20
53.02, 18

Crystal structure
```
SrHgS2
1.0
4.6216 0.0000 0.0000
0.0000 6.1058 0.0000
-0.7003 0.0000 8.3817
Sr Hg S
2 2 4
Direct
0.2162 0.0000 0.3693
0.7838 0.5000 0.6307
0.3320 0.5190 0.1204
0.6680 0.0190 0.8796
0.2494 0.4937 0.4003
0.3207 0.4137 0.8478
0.6793 0.9137 0.1522
0.7506 0.9937 0.5997
```

***

# Y6ErTm2Sc
Simulated PXRD pattern, Cu Kα X-rays. Input: the GGA-PBE geometry in Alexandria.
Peak positions follow from Bragg's law for the DFT cell and can differ from measured ones.

Largest 10 diffraction maxima, sorted by position, 2θ from 10° to 80°:
2θ (°), I (rel.)
12.00, 25
28.31, 33
29.10, 45
30.72, 40
31.15, 40
31.92, 100
32.04, 35
32.97, 34
34.36, 28
38.92, 22

Crystal structure
```
Y6ErTm2Sc
1.0
4.5262 -7.3742 0.0000
4.5262 7.3742 0.0000
-1.3144 0.0000 9.3514
Y Er Tm Sc
12 2 4 2
Direct
0.0044 0.5640 0.1878
0.1227 0.7550 0.5548
0.2450 0.8773 0.9452
0.2948 0.5061 0.3849
0.4360 0.9956 0.3122
0.4939 0.7052 0.1151
0.5061 0.2948 0.8849
0.5640 0.0044 0.6878
0.7052 0.4939 0.6151
0.7550 0.1227 0.0548
0.8773 0.2450 0.4452
0.9956 0.4360 0.8122
0.0231 0.9769 0.2500
0.9769 0.0231 0.7500
0.1995 0.3000 0.0489
0.3000 0.1995 0.5489
0.7000 0.8005 0.4511
0.8005 0.7000 0.9511
0.4124 0.5876 0.7500
0.5876 0.4124 0.2500
```

***

# Sm8Ge5Au
Simulated PXRD pattern, Cu Kα X-rays. Input: the GGA-PBE geometry in Alexandria.
Peak positions follow from Bragg's law for the DFT cell and can differ from measured ones.

Largest 10 diffraction maxima, sorted by position, 2θ from 10° to 80°:
2θ (°), I (rel.)
27.81, 17
31.06, 56
31.29, 100
37.02, 22
37.17, 71
47.04, 15
49.33, 16
51.28, 14
51.41, 14
51.55, 18

Crystal structure
```
Sm8Ge5Au
1.0
-4.5185 4.5185 4.5568
4.5185 -4.5185 4.5568
4.5185 4.5185 -4.5568
Sm Ge Au
8 5 1
Direct
0.0009 0.8843 0.2567
0.1157 0.3724 0.1166
0.1224 0.3767 0.6155
0.2558 0.9991 0.8834
0.4931 0.8776 0.2543
0.6233 0.2388 0.7457
0.6276 0.7442 0.7433
0.7612 0.5069 0.3845
0.2500 0.7500 0.5000
0.3766 0.2532 0.3753
0.7468 0.1221 0.1234
0.8779 0.0012 0.6247
0.9988 0.6234 0.8766
0.5000 0.5000 0.0000
```